Computed powder diffraction line list of AcCr4Co3O12 for Cu Kα, from a cell relaxed with PBE+U.
Intensities are scaled so that the largest is 100.

Most intense lines, 2θ from 15° to 90°, sorted by position:
2θ = 16.77°, I 36
2θ = 29.26°, I 17
2θ = 33.91°, I 100
2θ = 38.06°, I 20
2θ = 45.39°, I 21
2θ = 48.72°, I 23
2θ = 60.68°, I 47
2θ = 81.41°, I 17

Crystal structure
```
AcCr4Co3O12
1.0
-3.7383 3.7383 3.7383
3.7383 -3.7383 3.7383
3.7383 3.7383 -3.7383
Ac Cr Co O
1 4 3 12
Cartesian
0.0000 0.0000 0.0000
1.8691 1.8691 -1.8691
1.8691 -1.8691 1.8691
-1.8691 1.8691 1.8691
1.8691 1.8691 1.8691
3.7383 0.0000 0.0000
0.0000 3.7383 0.0000
0.0000 0.0000 3.7383
3.7383 -1.3777 2.4489
2.3605 1.2893 0.0000
5.1160 1.2893 0.0000
2.4489 3.7383 -1.3777
1.2893 0.0000 2.3605
0.0000 2.3605 1.2893
3.7383 1.3777 2.4489
2.4489 3.7383 1.3777
1.2893 0.0000 5.1160
-1.3777 2.4489 3.7383
1.3777 2.4489 3.7383
0.0000 5.1160 1.2893
```